Entry 1:
Starting from a cell relaxed with GGA-PBE, the XRD peak list of BaSiB was simulated for Cu Kα, 1.54184 Å.
Lines closer than 0.1° are merged.

Crystal structure
abc: 6.3223 6.3223 6.3329
angles: 90.00 90.00 120.00
Space group P3_221 (No. 154)
Symmetry-distinct sites (fractional):
Ba1 0.0000 0.6191 0.3333 x3
Si1 0.0000 0.7038 0.8333 x3
B1 0.0000 0.0804 0.3333 x3

Main lines, in order of rising 2θ (2θ = 10–80°):
- 2θ = 21.5°, 4.142 Å, I = 95, hkl 1 0 1
- 2θ = 28.2°, 3.161 Å, I = 100, hkl 1 1 0
- 2θ = 32.7°, 2.741 Å, I = 88, hkl 0 1 2
- 2θ = 35.7°, 2.513 Å, I = 29, hkl 0 2 1
- 2θ = 43.7°, 2.071 Å, I = 37, hkl 2 0 2
- 2θ = 46.1°, 1.967 Å, I = 28, hkl 2 1 1
- 2θ = 50.0°, 1.825 Å, I = 15, hkl 3 0 0
- 2θ = 52.1°, 1.755 Å, I = 22, hkl 1 1 3
- 2θ = 52.8°, 1.732 Å, I = 32, hkl 1 2 2
- 2θ = 62.9°, 1.477 Å, I = 15, hkl 3 1 1
- 2θ = 68.5°, 1.370 Å, I = 18, hkl 0 2 4
- 2θ = 75.7°, 1.257 Å, I = 18, hkl 2 1 4



Entry 2:
Starting from a cell relaxed with GGA-PBE, the XRD peak list of Y3TlFe3 was simulated for Cu Kα, 1.54184 Å.
Lines closer than 0.1° are merged.

Crystal structure
abc: 9.6367 9.6367 3.9627
angles: 90.00 90.00 120.00
Space group P6_3/m (No. 176)
Symmetry-distinct sites (fractional):
Y1 0.0747 0.6862 0.2500 x6
Tl1 0.3333 0.6667 0.7500 x2
Fe1 0.0211 0.8676 0.7500 x6

Main lines, in order of rising 2θ (2θ = 10–80°):
- 2θ = 18.4°, 4.818 Å, I = 40, hkl 1 1 0
- 2θ = 24.9°, 3.580 Å, I = 21, hkl 1 0 1
- 2θ = 28.3°, 3.154 Å, I = 38, hkl 1 2 0
- 2θ = 29.2°, 3.061 Å, I = 34, hkl 1 1 1
- 2θ = 31.1°, 2.873 Å, I = 65, hkl 2 0 1
- 2θ = 32.2°, 2.782 Å, I = 41, hkl 3 0 0
- 2θ = 36.4°, 2.468 Å, I = 100, hkl 1 2 1
- 2θ = 38.9°, 2.315 Å, I = 26, hkl 1 3 0
- 2θ = 44.0°, 2.059 Å, I = 17, hkl 2 2 1
- 2θ = 45.8°, 1.981 Å, I = 25, hkl 0 0 2
- 2θ = 53.1°, 1.724 Å, I = 42, hkl 2 3 1
- 2θ = 66.7°, 1.402 Å, I = 21, hkl 1 5 1



Entry 3:
Starting from a cell relaxed with GGA-PBE, the XRD peak list of In4CuSb was simulated for Cu Kα, 1.54184 Å.
Lines closer than 0.1° are merged.

Crystal structure
abc: 8.647 8.647 8.647
angles: 90.00 90.00 90.00
Space group F-43m (No. 216)
Symmetry-distinct sites (fractional):
In1 0.125 0.125 0.125 x16
Cu1 0.000 0.000 0.500 x4
Sb1 0.250 0.250 0.750 x4

Main lines, in order of rising 2θ (2θ = 10–80°):
- 2θ = 17.8°, 4.992 Å, I = 14, hkl 1 1 1
- 2θ = 29.2°, 3.057 Å, I = 20, hkl 2 2 0
- 2θ = 34.4°, 2.607 Å, I = 100, hkl 3 1 1
- 2θ = 36.0°, 2.496 Å, I = 48, hkl 2 2 2
- 2θ = 41.8°, 2.162 Å, I = 8, hkl 4 0 0
- 2θ = 45.7°, 1.984 Å, I = 4, hkl 3 3 1
- 2θ = 51.8°, 1.765 Å, I = 8, hkl 4 2 2
- 2θ = 55.2°, 1.664 Å, I = 33, hkl 5 1 1
- 2θ = 60.6°, 1.529 Å, I = 29, hkl 4 4 0
- 2θ = 68.6°, 1.367 Å, I = 3, hkl 6 2 0
- 2θ = 71.6°, 1.319 Å, I = 11, hkl 5 3 3
- 2θ = 72.5°, 1.304 Å, I = 17, hkl 6 2 2



Entry 4:
Starting from a cell relaxed with GGA-PBE, the XRD peak list of LiTh2Pd4 was simulated for Cu Kα, 1.54184 Å.
Lines closer than 0.1° are merged.

Crystal structure
abc: 4.367 4.367 15.028
angles: 90.00 90.00 90.00
Space group I4/mmm (No. 139)
Symmetry-distinct sites (fractional):
Li1 0.000 0.000 0.000 x2
Th1 0.000 0.000 0.348 x4
Pd1 0.000 0.000 0.154 x4
Pd2 0.000 0.500 0.000 x4

Main lines, in order of rising 2θ (2θ = 10–80°):
- 2θ = 27.1°, 3.292 Å, I = 22, hkl 1 0 3
- 2θ = 28.9°, 3.088 Å, I = 39, hkl 1 1 0
- 2θ = 31.3°, 2.856 Å, I = 60, hkl 1 1 2
- 2θ = 35.9°, 2.505 Å, I = 34, hkl 0 0 6
- 2θ = 37.7°, 2.386 Å, I = 100, hkl 1 1 4
- 2θ = 41.3°, 2.184 Å, I = 58, hkl 2 0 0
- 2θ = 46.7°, 1.945 Å, I = 14, hkl 1 1 6
- 2θ = 55.9°, 1.646 Å, I = 39, hkl 2 0 6
- 2θ = 59.9°, 1.544 Å, I = 20, hkl 2 2 0
- 2θ = 69.6°, 1.351 Å, I = 24, hkl 1 1 10
- 2θ = 71.8°, 1.314 Å, I = 18, hkl 2 2 6
- 2θ = 73.0°, 1.296 Å, I = 29, hkl 3 1 4



Entry 5:
Starting from a cell relaxed with GGA-PBE, the XRD peak list of SmDy12Sc2 was simulated for Cu Kα, 1.54184 Å.
Lines closer than 0.1° are merged.

Crystal structure
abc: 3.555 4.825 27.599
angles: 90.00 93.68 90.00
Space group P2/m (No. 10)
Symmetry-distinct sites (fractional):
Sm1 0.000 0.000 0.000 x1
Dy1 0.064 0.000 0.132 x2
Dy2 0.189 0.000 0.382 x2
Dy3 0.278 0.500 0.553 x2
Dy4 0.343 0.500 0.679 x2
Dy5 0.404 0.500 0.803 x2
Dy6 0.467 0.500 0.933 x2
Sc1 0.127 0.000 0.258 x2

Main lines, in order of rising 2θ (2θ = 10–80°):
- 2θ = 29.3°, 3.049 Å, I = 12, hkl 0 1 7
- 2θ = 31.3°, 2.858 Å, I = 100, hkl 1 1 0
- 2θ = 31.9°, 2.802 Å, I = 95, hkl 0 1 8
- 2θ = 35.1°, 2.554 Å, I = 63, hkl 1 0 -8
- 2θ = 37.3°, 2.413 Å, I = 36, hkl 0 2 0
- 2θ = 51.4°, 1.778 Å, I = 14, hkl 2 0 -1
- 2θ = 52.2°, 1.754 Å, I = 41, hkl 1 2 -8
- 2θ = 61.4°, 1.510 Å, I = 31, hkl 1 1 -16
- 2θ = 61.8°, 1.501 Å, I = 29, hkl 2 1 7
- 2θ = 63.5°, 1.465 Å, I = 14, hkl 1 3 0
- 2θ = 63.9°, 1.457 Å, I = 13, hkl 0 3 8
- 2θ = 65.2°, 1.431 Å, I = 14, hkl 2 2 -1



Entry 6:
Starting from a cell relaxed with GGA-PBE, the XRD peak list of Tl2AsPbO4 was simulated for Cu Kα, 1.54184 Å.
Lines closer than 0.1° are merged.

Crystal structure
abc: 7.700 8.540 5.229
angles: 90.00 90.00 90.00
Space group Pmn2_1 (No. 31)
Symmetry-distinct sites (fractional):
Tl1 0.228 0.132 0.000 x4
As1 0.000 0.370 0.466 x2
Pb1 0.000 0.652 0.006 x2
O1 0.000 0.381 0.132 x2
O2 0.000 0.562 0.572 x2
O3 0.185 0.269 0.557 x4

Main lines, in order of rising 2θ (2θ = 10–80°):
- 2θ = 25.4°, 3.510 Å, I = 57, hkl 2 1 0
- 2θ = 27.0°, 3.307 Å, I = 100, hkl 0 2 1
- 2θ = 30.7°, 2.914 Å, I = 75, hkl 2 1 1
- 2θ = 34.3°, 2.615 Å, I = 32, hkl 0 0 2
- 2θ = 39.4°, 2.289 Å, I = 27, hkl 2 3 0
- 2θ = 42.3°, 2.135 Å, I = 14, hkl 0 4 0
- 2θ = 43.1°, 2.097 Å, I = 41, hkl 2 1 2
- 2θ = 53.2°, 1.722 Å, I = 22, hkl 2 3 2
- 2θ = 55.2°, 1.664 Å, I = 23, hkl 4 2 1
- 2θ = 57.1°, 1.614 Å, I = 13, hkl 0 2 3
- 2θ = 59.2°, 1.561 Å, I = 15, hkl 2 1 3
- 2θ = 62.0°, 1.496 Å, I = 18, hkl 2 5 1



Entry 7:
Starting from a cell relaxed with GGA-PBE, the XRD peak list of LaAl5Os2 was simulated for Cu Kα, 1.54184 Å.
Lines closer than 0.1° are merged.

Crystal structure
abc: 10.719 7.462 4.015
angles: 90.00 111.58 90.00
Space group C2/m (No. 12)
Symmetry-distinct sites (fractional):
La1 0.000 0.000 0.000 x2
Al1 0.000 0.500 0.000 x2
Al2 0.159 0.313 0.659 x8
Os1 0.244 0.500 0.241 x4

Main lines, in order of rising 2θ (2θ = 10–80°):
- 2θ = 17.8°, 4.984 Å, I = 56, hkl 2 0 0
- 2θ = 23.8°, 3.731 Å, I = 100, hkl 0 2 0
- 2θ = 25.2°, 3.536 Å, I = 37, hkl 1 1 -1
- 2θ = 30.9°, 2.893 Å, I = 99, hkl 1 1 1
- 2θ = 31.1°, 2.875 Å, I = 97, hkl 3 1 -1
- 2θ = 34.0°, 2.636 Å, I = 35, hkl 0 2 1
- 2θ = 36.0°, 2.492 Å, I = 33, hkl 4 0 0
- 2θ = 42.8°, 2.115 Å, I = 25, hkl 1 3 -1
- 2θ = 43.7°, 2.072 Å, I = 61, hkl 4 2 0
- 2θ = 45.2°, 2.008 Å, I = 34, hkl 2 0 -2
- 2θ = 46.6°, 1.949 Å, I = 41, hkl 1 3 1
- 2θ = 46.7°, 1.944 Å, I = 41, hkl 3 3 -1